K2RbZnPt: theoretical powder XRD pattern (a wavelength of 1.5418 Å), based on DFT lattice parameters and positions (GGA-PBE).
No peak broadening, texture or thermal motion is included.

Main lines, low angle first (2θ = 10–90°):
| 2θ/deg | d/Å | Rel. int. |
| --- | --- | --- |
| 13.8 | 6.422 | 83 |
| 19.5 | 4.541 | 87 |
| 22.7 | 3.921 | 74 |
| 27.8 | 3.211 | 100 |
| 36.2 | 2.484 | 45 |
| 39.7 | 2.270 | 38 |
| 41.5 | 2.174 | 26 |
| 46.3 | 1.961 | 48 |
| 54.8 | 1.674 | 43 |
| 76.7 | 1.242 | 29 |

Structural model:
```
5
Lattice="6.4217 0.0000 0.0000 0.0000 6.4217 0.0000 0.0000 0.0000 4.9520" Properties=species:S:1:pos:R:3 pbc="T T T"
K 0.0000 3.2109 0.0000
K 3.2109 0.0000 0.0000
Rb 0.0000 0.0000 2.4760
Zn 3.2109 3.2109 2.4760
Pt 3.2109 3.2109 0.0000
```

=====

K4PtS4: theoretical powder XRD pattern (a wavelength of 1.5418 Å), based on DFT lattice parameters and positions (GGA-PBE).
No peak broadening, texture or thermal motion is included.

Main lines, low angle first (2θ = 10–90°):
| 2θ/deg | d/Å | Rel. int. |
| --- | --- | --- |
| 12.2 | 7.252 | 35 |
| 14.3 | 6.214 | 100 |
| 18.2 | 4.863 | 31 |
| 22.5 | 3.955 | 33 |
| 25.9 | 3.439 | 22 |
| 28.7 | 3.107 | 15 |
| 29.7 | 3.009 | 18 |
| 34.6 | 2.595 | 39 |
| 36.0 | 2.495 | 28 |
| 37.0 | 2.432 | 14 |

Structural model:
```
9
Lattice="-3.4388 3.4388 7.2524 3.4388 -3.4388 7.2524 3.4388 3.4388 -7.2524" Properties=species:S:1:pos:R:3 pbc="T T T"
K 3.4388 0.0000 0.0000
K 0.0000 0.0000 2.9415
K 0.0000 3.4388 0.0000
K 0.0000 0.0000 11.5634
Pt 0.0000 0.0000 7.2524
S 1.1238 -1.1238 5.5573
S 2.3150 2.3150 1.6951
S -1.1238 1.1238 5.5573
S 1.1238 1.1238 8.9476
```

=====

KPtS: theoretical powder XRD pattern (a wavelength of 1.5418 Å), based on DFT lattice parameters and positions (GGA-PBE).
No peak broadening, texture or thermal motion is included.

Main lines, low angle first (2θ = 10–90°):
| 2θ/deg | d/Å | Rel. int. |
| --- | --- | --- |
| 17.5 | 5.075 | 54 |
| 25.4 | 3.503 | 45 |
| 31.0 | 2.883 | 100 |
| 35.4 | 2.537 | 20 |
| 44.1 | 2.055 | 22 |
| 44.8 | 2.023 | 30 |
| 48.4 | 1.879 | 24 |
| 55.5 | 1.656 | 19 |
| 58.3 | 1.582 | 27 |
| 74.0 | 1.281 | 16 |

Structural model:
```
3
Lattice="4.0451 0.0000 0.0000 -2.0225 3.5031 0.0000 0.0000 0.0000 5.0748" Properties=species:S:1:pos:R:3 pbc="T T T"
K 0.0000 0.0000 0.0000
Pt 2.0225 1.1677 2.5374
S 0.0000 2.3354 2.5374
```

=====

K4Th3PtS8: theoretical powder XRD pattern (a wavelength of 1.5418 Å), based on DFT lattice parameters and positions (GGA-PBE).
No peak broadening, texture or thermal motion is included.

Main lines, low angle first (2θ = 10–90°):
| 2θ/deg | d/Å | Rel. int. |
| --- | --- | --- |
| 11.8 | 7.471 | 100 |
| 23.8 | 3.735 | 39 |
| 25.3 | 3.518 | 18 |
| 26.0 | 3.423 | 24 |
| 26.7 | 3.338 | 31 |
| 28.0 | 3.186 | 37 |
| 30.5 | 2.927 | 61 |
| 41.0 | 2.202 | 36 |
| 42.8 | 2.111 | 23 |
| 48.8 | 1.867 | 29 |

Structural model:
```
16
Lattice="7.5245 -3.9181 0.0000 7.5245 3.9181 0.0000 -4.6942 0.0000 7.4711" Properties=species:S:1:pos:R:3 pbc="T T T"
K 0.0000 0.0000 0.0000
K 3.7622 1.9590 0.0000
K 3.7622 -1.9590 0.0000
K 7.5245 0.0000 0.0000
Th -2.3471 0.0000 3.7356
Th 1.4151 1.9590 3.7356
Th 1.4151 -1.9590 3.7356
Pt 5.1774 0.0000 3.7356
S 0.0690 0.0000 5.2883
S 2.2093 0.0000 1.9493
S 3.9350 1.8007 5.0803
S 6.4198 1.8007 2.3908
S 3.9350 -1.8007 5.0803
S 6.4198 -1.8007 2.3908
S 8.1454 0.0000 5.5219
S 10.2857 0.0000 2.1829
```

=====

KU2PtS4: theoretical powder XRD pattern (a wavelength of 1.5418 Å), based on DFT lattice parameters and positions (GGA-PBE).
No peak broadening, texture or thermal motion is included.

Main lines, low angle first (2θ = 10–90°):
| 2θ/deg | d/Å | Rel. int. |
| --- | --- | --- |
| 14.7 | 6.021 | 100 |
| 23.5 | 3.787 | 22 |
| 26.6 | 3.349 | 66 |
| 30.4 | 2.944 | 49 |
| 32.7 | 2.735 | 74 |
| 35.2 | 2.548 | 37 |
| 39.2 | 2.296 | 17 |
| 45.3 | 2.004 | 57 |
| 45.3 | 2.002 | 19 |
| 58.7 | 1.574 | 18 |

Structural model:
```
16
Lattice="2.0017 -6.6941 0.0000 2.0017 6.6941 0.0000 0.0000 0.0000 13.7763" Properties=species:S:1:pos:R:3 pbc="T T T"
K 2.0017 5.1951 10.3322
K 2.0017 -5.1951 3.4441
U 2.0017 1.7706 7.7859
U 2.0017 1.7706 12.8785
U 2.0017 -1.7706 0.8978
U 2.0017 -1.7706 5.9903
Pt 2.0017 4.5069 3.4441
Pt 2.0017 -4.5069 10.3322
S 0.0000 0.0000 0.0000
S 0.0000 0.0000 6.8881
S 2.0017 3.1460 1.4423
S 2.0017 3.1460 5.4458
S 2.0017 0.8466 10.3322
S 2.0017 -0.8466 3.4441
S 2.0017 -3.1460 8.3304
S 2.0017 -3.1460 12.3340
```

=====

K3Sb2Pt: theoretical powder XRD pattern (a wavelength of 1.5418 Å), based on DFT lattice parameters and positions (GGA-PBE).
No peak broadening, texture or thermal motion is included.

Main lines, low angle first (2θ = 10–90°):
| 2θ/deg | d/Å | Rel. int. |
| --- | --- | --- |
| 11.6 | 7.616 | 100 |
| 13.2 | 6.732 | 75 |
| 26.5 | 3.366 | 11 |
| 30.1 | 2.966 | 13 |
| 30.4 | 2.944 | 30 |
| 30.6 | 2.922 | 26 |
| 33.2 | 2.698 | 33 |
| 38.1 | 2.360 | 27 |
| 40.7 | 2.216 | 11 |
| 45.7 | 1.984 | 14 |

Structural model:
```
12
Lattice="-4.6174 6.7320 3.8223 4.6174 -6.7320 3.8223 4.6174 6.7320 -3.8223" Properties=species:S:1:pos:R:3 pbc="T T T"
K 5.9085 2.6770 0.0000
K 0.0000 0.0000 1.9112
K 1.2911 4.0550 0.0000
K 3.3264 2.6770 3.8223
K 0.0000 0.0000 5.7335
K -1.2911 4.0550 3.8223
Sb 2.8874 0.7337 0.0000
Sb 2.8874 -0.7337 3.8223
Sb 1.7301 7.4658 0.0000
Sb 1.7301 5.9983 3.8223
Pt 4.6174 0.0000 1.9112
Pt 0.0000 6.7320 1.9112
```

=====

K2Sb2Pt: theoretical powder XRD pattern (a wavelength of 1.5418 Å), based on DFT lattice parameters and positions (GGA-PBE).
No peak broadening, texture or thermal motion is included.

Main lines, low angle first (2θ = 10–90°):
| 2θ/deg | d/Å | Rel. int. |
| --- | --- | --- |
| 11.4 | 7.737 | 100 |
| 18.8 | 4.719 | 29 |
| 23.5 | 3.781 | 53 |
| 31.7 | 2.825 | 19 |
| 32.1 | 2.790 | 45 |
| 37.7 | 2.387 | 32 |
| 39.5 | 2.281 | 44 |
| 44.9 | 2.019 | 20 |
| 49.3 | 1.849 | 16 |
| 50.3 | 1.814 | 25 |

Structural model:
```
10
Lattice="-2.3873 2.3873 15.4741 2.3873 -2.3873 15.4741 2.3873 2.3873 -15.4741" Properties=species:S:1:pos:R:3 pbc="T T T"
K 2.3873 1.1936 -6.3053
K 0.0000 1.1936 1.4318
K 2.3873 1.1936 14.0423
K 0.0000 1.1936 21.7794
Sb 2.3873 1.1936 -2.7568
Sb 0.0000 1.1936 4.9803
Sb 2.3873 1.1936 10.4939
Sb 0.0000 1.1936 18.2310
Pt 2.3873 1.1936 3.8685
Pt 0.0000 1.1936 11.6056
```

=====

K5Sb2Pt: theoretical powder XRD pattern (a wavelength of 1.5418 Å), based on DFT lattice parameters and positions (GGA-PBE).
No peak broadening, texture or thermal motion is included.

Main lines, low angle first (2θ = 10–90°):
| 2θ/deg | d/Å | Rel. int. |
| --- | --- | --- |
| 17.5 | 5.061 | 89 |
| 18.3 | 4.840 | 48 |
| 30.1 | 2.969 | 100 |
| 30.4 | 2.942 | 16 |
| 35.0 | 2.561 | 16 |
| 35.8 | 2.506 | 24 |
| 38.7 | 2.327 | 20 |
| 41.6 | 2.173 | 21 |
| 48.9 | 1.862 | 15 |
| 53.5 | 1.714 | 19 |

Structural model:
```
8
Lattice="2.9685 1.7139 9.5668 -2.9685 1.7139 9.5668 0.0000 -3.4278 9.5668" Properties=species:S:1:pos:R:3 pbc="T T T"
K 0.0000 0.0000 0.0000
K 0.0000 0.0000 3.9686
K 0.0000 0.0000 8.0474
K 0.0000 0.0000 20.6531
K 0.0000 0.0000 24.7319
Sb 0.0000 0.0000 11.7586
Sb 0.0000 0.0000 16.9418
Pt 0.0000 0.0000 14.3502
```